This entry pairs a crystal structure of Li2V3SnO8 with its theoretical X-ray diffraction stick pattern. Radiation: λ = 1.5418 Å (Cu Kα). Structure: a GGA+U-relaxed structure.

Largest 6 diffraction maxima, by angle, 5° ≤ 2θ ≤ 70°:
2θ/deg  Rel. int.
17.88  47.6
18.11  52.8
20.69  77.4
29.61  54.3
34.52  70.7
34.66  100.0

Cell and atoms:
```
data_Li2V3SnO8
_symmetry_space_group_name_H-M 'P 1'
_symmetry_Int_Tables_number 1
_symmetry_space_group_name_Hall 'P 1'
_cell_length_a 6.0440
_cell_length_b 6.0985
_cell_length_c 8.5286
_cell_angle_alpha 89.84
_cell_angle_beta 89.18
_cell_angle_gamma 89.93
loop_
_atom_site_label
_atom_site_type_symbol
_atom_site_fract_x
_atom_site_fract_y
_atom_site_fract_z
Li1 Li 0.0000 0.0000 0.0000
Li2 Li 0.2410 0.0104 0.3717
Li3 Li 0.4997 0.4952 0.5011
Li4 Li 0.7432 0.4983 0.8727
V1 V 0.0135 0.4973 0.5029
V2 V 0.2534 0.2535 0.7424
V3 V 0.2534 0.7314 0.7356
V4 V 0.5210 0.9946 0.0040
V5 V 0.7523 0.7617 0.2437
V6 V 0.7538 0.2402 0.2423
Sn1 Sn 0.2669 0.4984 0.1136
Sn2 Sn 0.7673 0.9972 0.6174
O1 O 0.0248 0.5076 0.7444
O2 O 0.0288 0.9958 0.7568
O3 O 0.2373 0.2719 0.5153
O4 O 0.2372 0.7471 0.5239
O5 O 0.2558 0.7702 0.9812
O6 O 0.2605 0.2232 0.9863
O7 O 0.4613 0.5059 0.7534
O8 O 0.4917 0.9903 0.7561
O9 O 0.5122 0.0009 0.2319
O10 O 0.5288 0.5019 0.2533
O11 O 0.7181 0.7700 0.0069
O12 O 0.7200 0.2292 0.0105
O13 O 0.7580 0.2693 0.4874
O14 O 0.7592 0.7282 0.4861
O15 O 0.9635 0.9996 0.2449
O16 O 0.9915 0.5017 0.2515
```